# 1
Starting from a cell relaxed with GGA-PBE, the X-ray diffraction stick pattern of RbSn3 was calculated for Cu Kα (λ = 1.5418 Å).

Largest 8 diffraction maxima, by angle, 2θ = 15–90°:
25.86°, d 3.445, rel. 22
30.61°, d 2.920, rel. 100
32.54°, d 2.752, rel. 27
34.43°, d 2.605, rel. 16
42.65°, d 2.120, rel. 30
50.55°, d 1.805, rel. 13
56.86°, d 1.619, rel. 18
68.44°, d 1.371, rel. 13

Atomic structure:
Cell: 7.9569 7.9569 5.5037 Å, 90.00 90.00 120.00°
Atoms (fractional coordinates):
1 Rb 0.3333 0.6667 0.2500
2 Rb 0.6667 0.3333 0.7500
3 Sn 0.1288 0.2576 0.7500
4 Sn 0.1288 0.8712 0.7500
5 Sn 0.2576 0.1288 0.2500
6 Sn 0.7424 0.8712 0.7500
7 Sn 0.8712 0.1288 0.2500
8 Sn 0.8712 0.7424 0.2500

# 2
Starting from a cell relaxed with GGA-PBE, the X-ray diffraction stick pattern of Cs2LiCeI6 was calculated for Cu Kα (λ = 1.5418 Å).

Largest 8 diffraction maxima, by angle, 2θ = 15–90°:
25.16°, d 3.540, rel. 100
29.13°, d 3.066, rel. 91
41.66°, d 2.168, rel. 68
49.29°, d 1.849, rel. 46
51.64°, d 1.770, rel. 24
66.47°, d 1.407, rel. 19
68.43°, d 1.371, rel. 31
76.04°, d 1.252, rel. 23

Atomic structure:
Cell: 8.6714 8.6714 8.6714 Å, 60.00 60.00 60.00°
Atoms (fractional coordinates):
1 Cs 0.2500 0.2500 0.2500
2 Cs 0.7500 0.7500 0.7500
3 Li 0.0000 0.0000 0.0000
4 Ce 0.5000 0.5000 0.5000
5 I 0.2449 0.2449 0.7551
6 I 0.2449 0.7551 0.2449
7 I 0.2449 0.7551 0.7551
8 I 0.7551 0.2449 0.2449
9 I 0.7551 0.2449 0.7551
10 I 0.7551 0.7551 0.2449

# 3
Starting from a cell relaxed with GGA-PBE, the X-ray diffraction stick pattern of MgSi was calculated for Cu Kα (λ = 1.5418 Å).

Largest 8 diffraction maxima, by angle, 2θ = 15–90°:
21.66°, d 4.103, rel. 1
37.92°, d 2.373, rel. 100
44.03°, d 2.057, rel. 32
44.14°, d 2.052, rel. 16
64.09°, d 1.453, rel. 30
76.89°, d 1.240, rel. 24
77.05°, d 1.238, rel. 12
81.05°, d 1.186, rel. 10

Atomic structure:
Cell: 2.9084 2.9084 4.1034 Å, 90.00 90.00 90.00°
Atoms (fractional coordinates):
1 Mg 0.0000 0.0000 0.0000
2 Si 0.5000 0.5000 0.5000

# 4
Starting from a cell relaxed with GGA-PBE, the X-ray diffraction stick pattern of Rb2VAgS4 was calculated for Cu Kα (λ = 1.5418 Å).

Largest 8 diffraction maxima, by angle, 2θ = 15–90°:
19.95°, d 4.450, rel. 35
25.98°, d 3.430, rel. 100
27.17°, d 3.282, rel. 92
33.29°, d 2.692, rel. 40
37.96°, d 2.370, rel. 34
38.27°, d 2.352, rel. 41
45.78°, d 1.982, rel. 25
46.81°, d 1.941, rel. 27

Atomic structure:
Cell: 13.7111 12.2208 7.4673 Å, 84.62 62.55 32.83°
Atoms (fractional coordinates):
1 Rb 0.0542 0.0542 0.6958
2 Rb 0.3042 0.3042 0.9458
3 Rb 0.6958 0.6958 0.0542
4 Rb 0.9458 0.9458 0.3042
5 V 0.1250 0.1250 0.1250
6 V 0.8750 0.8750 0.8750
7 Ag 0.3750 0.3750 0.3750
8 Ag 0.6250 0.6250 0.6250
9 S 0.0718 0.2867 0.3689
10 S 0.2274 0.6311 0.7133
11 S 0.2867 0.0718 0.7726
12 S 0.3689 0.7726 0.0718
13 S 0.6311 0.2274 0.9282
14 S 0.7133 0.9282 0.2274
15 S 0.7726 0.3689 0.2867
16 S 0.9282 0.7133 0.6311

# 5
Starting from a cell relaxed with GGA-PBE, the X-ray diffraction stick pattern of ZnW2Se4 was calculated for Cu Kα (λ = 1.5418 Å).

Largest 8 diffraction maxima, by angle, 2θ = 15–90°:
31.19°, d 2.868, rel. 51
32.78°, d 2.732, rel. 28
34.69°, d 2.586, rel. 68
37.20°, d 2.417, rel. 27
40.24°, d 2.241, rel. 100
43.72°, d 2.071, rel. 30
47.56°, d 1.912, rel. 26
55.50°, d 1.656, rel. 38

Atomic structure:
Cell: 3.3112 3.3112 17.9580 Å, 90.00 90.00 120.00°
Atoms (fractional coordinates):
1 Zn 0.0000 0.0000 0.0000
2 W 0.0000 0.0000 0.2611
3 W 0.3333 0.6667 0.7273
4 Se 0.0000 0.0000 0.6331
5 Se 0.0000 0.0000 0.8215
6 Se 0.3333 0.6667 0.1669
7 Se 0.3333 0.6667 0.3551